The following is a theoretical powder XRD pattern of Ce3HfH8. It was derived from a DFT-relaxed cell (GGA-PBE, Alexandria), using copper Kα.
Intensities are scaled so that the largest is 100.

Crystal structure
```
Ce3HfH8
1.0
5.234 0.000 0.000
0.000 5.234 0.000
0.000 0.000 5.234
Ce Hf H
3 1 8
Direct
0.000 0.000 0.500
0.000 0.500 0.000
0.500 0.000 0.000
0.500 0.500 0.500
0.273 0.273 0.273
0.273 0.273 0.727
0.273 0.727 0.273
0.273 0.727 0.727
0.727 0.273 0.273
0.727 0.273 0.727
0.727 0.727 0.273
0.727 0.727 0.727
```

Main lines, sorted by position (2θ = 10–90°):
16.9 deg, intensity 1
24.0 deg, intensity 1
29.6 deg, intensity 100
34.3 deg, intensity 49
49.2 deg, intensity 37
58.5 deg, intensity 44
61.4 deg, intensity 12
72.2 deg, intensity 6
79.9 deg, intensity 18
82.4 deg, intensity 16

***

The following is a theoretical powder XRD pattern of Sc4BeZn3. It was derived from a DFT-relaxed cell (GGA-PBE, Alexandria), using copper Kα.
Intensities are scaled so that the largest is 100.

Crystal structure
```
Sc4BeZn3
1.0
2.341 1.351 7.638
-2.341 1.351 7.638
0.000 -2.703 7.638
Sc Be Zn
4 1 3
Direct
0.122 0.122 0.122
0.372 0.372 0.372
0.628 0.628 0.628
0.878 0.878 0.878
0.000 0.000 0.000
0.249 0.249 0.249
0.500 0.500 0.500
0.751 0.751 0.751
```

Main lines, sorted by position (2θ = 10–90°):
11.6 deg, intensity 6
22.3 deg, intensity 5
23.3 deg, intensity 7
29.4 deg, intensity 4
35.2 deg, intensity 3
38.5 deg, intensity 100
45.5 deg, intensity 3
55.5 deg, intensity 16
69.6 deg, intensity 30
82.4 deg, intensity 9

***

The following is a theoretical powder XRD pattern of Li4Zn10Os. It was derived from a DFT-relaxed cell (GGA-PBE, Alexandria), using copper Kα.
Intensities are scaled so that the largest is 100.

Crystal structure
```
Li4Zn10Os
1.0
4.608 -4.760 0.000
4.608 4.760 0.000
-3.555 0.000 5.629
Li Zn Os
4 10 1
Direct
0.147 0.147 0.422
0.260 0.260 0.974
0.740 0.740 0.026
0.853 0.853 0.578
0.103 0.554 0.298
0.132 0.868 0.000
0.286 0.563 0.760
0.437 0.714 0.240
0.446 0.897 0.702
0.554 0.103 0.298
0.563 0.286 0.760
0.714 0.437 0.240
0.868 0.132 0.000
0.897 0.446 0.702
0.500 0.500 0.500
```

Main lines, sorted by position (2θ = 10–90°):
14.7 deg, intensity 100
16.5 deg, intensity 55
22.8 deg, intensity 27
25.7 deg, intensity 38
27.5 deg, intensity 31
37.1 deg, intensity 31
39.6 deg, intensity 30
42.9 deg, intensity 48
44.6 deg, intensity 27
49.1 deg, intensity 26

***

The following is a theoretical powder XRD pattern of Hf2NbGa4. It was derived from a DFT-relaxed cell (GGA-PBE, Alexandria), using copper Kα.
Intensities are scaled so that the largest is 100.

Crystal structure
```
Hf2NbGa4
1.0
6.571 0.000 0.000
0.000 6.571 0.000
0.000 0.000 5.851
Hf Nb Ga
4 2 8
Direct
0.000 0.500 0.000
0.000 0.500 0.500
0.500 0.000 0.000
0.500 0.000 0.500
0.000 0.000 0.251
0.500 0.500 0.751
0.197 0.197 0.750
0.197 0.803 0.750
0.303 0.303 0.250
0.303 0.697 0.250
0.697 0.303 0.250
0.697 0.697 0.250
0.803 0.197 0.750
0.803 0.803 0.750
```

Main lines, sorted by position (2θ = 10–90°):
19.1 deg, intensity 53
34.1 deg, intensity 30
36.3 deg, intensity 100
38.8 deg, intensity 72
41.3 deg, intensity 72
43.6 deg, intensity 30
44.2 deg, intensity 29
54.1 deg, intensity 37
68.6 deg, intensity 29
81.6 deg, intensity 25